Calculated powder diffractogram
Compound: Nd3Si4Pt2
Radiation: CuKα
Structure: a DFT-relaxed cell (PBE, Alexandria)

Structure:
abc: 11.212 4.151 8.367
angles: 90.00 99.96 90.00
Space group C2/m (No. 12)
Symmetry-distinct sites (fractional):
Nd 0.000 0.000 0.000 (multiplicity 2)
Nd 0.165 0.500 0.665 (multiplicity 4)
Si 0.053 0.000 0.388 (multiplicity 4)
Si 0.225 0.500 0.064 (multiplicity 4)
Pt 0.108 0.500 0.277 (multiplicity 4)

Most intense lines, 2θ = 5–70°, in order of rising 2θ:
2theta	I_rel	hkl
17.7	28.3	2 0 -1
21.6	19.2	0 0 2
22.9	23.1	1 1 0
32.4	44.7	4 0 -1
32.5	100.0	0 0 3
32.6	72.7	1 1 2
42.4	31.3	4 0 2
43.4	58.9	3 1 -3
43.6	29.1	0 2 0
55.3	27.5	4 2 -1
62.1	20.2	7 1 -1
62.5	41.4	4 2 2